Calculated X-ray diffraction stick pattern
Compound: RbGa2HgI6
Radiation: Cu Kα (λ = 1.5418 Å)
Structure: a structure optimized by DFT (PBE)

Structural model:
```
data_RbGa2HgI6
_chemical_formula_sum 'Rb2 Ga4 Hg2 I12'
_space_group_name_H-M_alt 'P 1'
_space_group_IT_number 1
_space_group_name_Hall 'P 1'
_cell_length_a 11.2147
_cell_length_b 11.2147
_cell_length_c 8.9088
_cell_angle_alpha 104.65
_cell_angle_beta 104.65
_cell_angle_gamma 83.65
loop_
_atom_site_label
_atom_site_fract_x
_atom_site_fract_y
_atom_site_fract_z
Rb1 0.1607 0.8393 0.7500
Rb2 0.8393 0.1607 0.2500
Ga1 0.1941 0.3545 0.7568
Ga2 0.3545 0.1941 0.2568
Ga3 0.6455 0.8059 0.7432
Ga4 0.8059 0.6455 0.2432
Hg1 0.2861 0.7139 0.2500
Hg2 0.7139 0.2861 0.7500
I1 0.0478 0.5529 0.7870
I2 0.0607 0.1596 0.6527
I3 0.1596 0.0607 0.1527
I4 0.3368 0.3490 0.5448
I5 0.3490 0.3368 0.0448
I6 0.4471 0.9522 0.7130
I7 0.5529 0.0478 0.2870
I8 0.6510 0.6632 0.9552
I9 0.6632 0.6510 0.4552
I10 0.8404 0.9393 0.8473
I11 0.9393 0.8404 0.3473
I12 0.9522 0.4471 0.2130
```

Largest 10 diffraction maxima, by angle, 2θ from 10° to 90°:
2θ/deg, intensity
17.29, 52
21.21, 43
23.01, 45
23.64, 38
23.79, 40
24.39, 100
24.52, 47
25.60, 68
26.09, 62
41.74, 31


Calculated X-ray diffraction stick pattern
Compound: Cu2AgS2O10
Radiation: Cu Kα (λ = 1.5418 Å)
Structure: a structure optimized by DFT (PBE)

Structural model:
```
data_Cu2AgS2O10
_chemical_formula_sum 'Cu2 Ag1 S2 O10'
_space_group_name_H-M_alt 'P 1'
_space_group_IT_number 1
_space_group_name_Hall 'P 1'
_cell_length_a 5.3680
_cell_length_b 5.3680
_cell_length_c 8.4326
_cell_angle_alpha 115.08
_cell_angle_beta 115.08
_cell_angle_gamma 70.27
loop_
_atom_site_label
_atom_site_fract_x
_atom_site_fract_y
_atom_site_fract_z
Cu1 0.0000 0.5000 0.0000
Cu2 0.5000 0.0000 0.0000
Ag1 0.0000 0.0000 0.5000
S1 0.2146 0.2146 0.2887
S2 0.7854 0.7854 0.7113
O1 0.0195 0.0195 0.1774
O2 0.0883 0.4904 0.2451
O3 0.2843 0.2843 0.4878
O4 0.3599 0.3599 0.0130
O5 0.4904 0.0883 0.2451
O6 0.5096 0.9117 0.7549
O7 0.6401 0.6401 0.9870
O8 0.7157 0.7157 0.5122
O9 0.9117 0.5096 0.7549
O10 0.9805 0.9805 0.8226
```

Largest 10 diffraction maxima, by angle, 2θ from 10° to 90°:
2θ/deg, intensity
18.60, 79
20.23, 75
24.69, 34
25.55, 100
31.51, 83
32.14, 78
34.48, 60
35.86, 43
37.73, 73
52.69, 51


Calculated X-ray diffraction stick pattern
Compound: Pm3NdTm7
Radiation: Cu Kα (λ = 1.5418 Å)
Structure: a structure optimized by DFT (PBE)

Structural model:
```
data_Pm3NdTm7
_chemical_formula_sum 'Pm3 Nd1 Tm7'
_space_group_name_H-M_alt 'P 1'
_space_group_IT_number 1
_space_group_name_Hall 'P 1'
_cell_length_a 6.9470
_cell_length_b 5.4894
_cell_length_c 9.9631
_cell_angle_alpha 90.00
_cell_angle_beta 110.20
_cell_angle_gamma 90.00
loop_
_atom_site_label
_atom_site_fract_x
_atom_site_fract_y
_atom_site_fract_z
Pm1 0.0000 0.0000 0.0000
Pm2 0.2162 0.5000 0.5008
Pm3 0.7838 0.5000 0.4992
Nd1 0.5000 0.0000 0.0000
Tm1 0.0831 0.0000 0.6696
Tm2 0.1795 0.5000 0.8600
Tm3 0.3548 0.5000 0.2116
Tm4 0.5000 0.0000 0.5000
Tm5 0.6452 0.5000 0.7884
Tm6 0.8205 0.5000 0.1400
Tm7 0.9169 0.0000 0.3304
```

Largest 10 diffraction maxima, by angle, 2θ from 10° to 90°:
2θ/deg, intensity
31.69, 54
31.96, 100
32.05, 15
32.16, 15
32.63, 52
33.05, 53
36.02, 14
46.42, 22
57.80, 19
58.47, 19


Calculated X-ray diffraction stick pattern
Compound: Ho4Al12Ga
Radiation: Cu Kα (λ = 1.5418 Å)
Structure: a structure optimized by DFT (PBE)

Structural model:
```
data_Ho4Al12Ga
_chemical_formula_sum 'Ho4 Al12 Ga1'
_space_group_name_H-M_alt 'P 1'
_space_group_IT_number 1
_space_group_name_Hall 'P 1'
_cell_length_a 7.5470
_cell_length_b 7.5470
_cell_length_c 7.5470
_cell_angle_alpha 109.47
_cell_angle_beta 109.47
_cell_angle_gamma 109.47
loop_
_atom_site_label
_atom_site_fract_x
_atom_site_fract_y
_atom_site_fract_z
Ho1 0.0000 0.0000 0.5000
Ho2 0.0000 0.5000 0.0000
Ho3 0.5000 0.0000 0.0000
Ho4 0.5000 0.5000 0.5000
Al1 0.0000 0.3064 0.3064
Al2 0.0000 0.6936 0.6936
Al3 0.2500 0.5000 0.7500
Al4 0.2500 0.7500 0.5000
Al5 0.3064 0.0000 0.3064
Al6 0.3064 0.3064 0.0000
Al7 0.5000 0.2500 0.7500
Al8 0.5000 0.7500 0.2500
Al9 0.6936 0.0000 0.6936
Al10 0.6936 0.6936 0.0000
Al11 0.7500 0.2500 0.5000
Al12 0.7500 0.5000 0.2500
Ga1 0.0000 0.0000 0.0000
```

Largest 10 diffraction maxima, by angle, 2θ from 10° to 90°:
2θ/deg, intensity
20.38, 58
28.98, 100
35.69, 70
41.45, 47
46.61, 34
51.36, 36
60.06, 28
68.04, 22
71.86, 23
82.91, 22


Calculated X-ray diffraction stick pattern
Compound: Pr6IrAu2
Radiation: Cu Kα (λ = 1.5418 Å)
Structure: a structure optimized by DFT (PBE)

Structural model:
```
data_Pr6IrAu2
_chemical_formula_sum 'Pr12 Ir2 Au4'
_space_group_name_H-M_alt 'P 1'
_space_group_IT_number 1
_space_group_name_Hall 'P 1'
_cell_length_a 7.0156
_cell_length_b 7.6222
_cell_length_c 12.3912
_cell_angle_alpha 90.00
_cell_angle_beta 120.47
_cell_angle_gamma 90.00
loop_
_atom_site_label
_atom_site_fract_x
_atom_site_fract_y
_atom_site_fract_z
Pr1 0.1079 0.0354 0.2549
Pr2 0.1079 0.4646 0.7549
Pr3 0.2434 0.6803 0.0698
Pr4 0.2434 0.8197 0.5698
Pr5 0.3860 0.1921 0.0642
Pr6 0.3860 0.3079 0.5642
Pr7 0.6140 0.6921 0.4358
Pr8 0.6140 0.8079 0.9358
Pr9 0.7566 0.1803 0.4302
Pr10 0.7566 0.3197 0.9302
Pr11 0.8921 0.5354 0.2451
Pr12 0.8921 0.9646 0.7451
Ir1 0.0000 0.0000 0.0000
Ir2 0.0000 0.5000 0.5000
Au1 0.3240 0.1076 0.7690
Au2 0.3240 0.3924 0.2690
Au3 0.6760 0.6076 0.7310
Au4 0.6760 0.8924 0.2310
```

Largest 10 diffraction maxima, by angle, 2θ from 10° to 90°:
2θ/deg, intensity
27.67, 39
28.78, 100
28.91, 55
29.78, 34
31.07, 35
31.24, 31
34.47, 33
37.66, 35
45.04, 33
49.91, 38


Calculated X-ray diffraction stick pattern
Compound: NaTl4Cd4
Radiation: Cu Kα (λ = 1.5418 Å)
Structure: a structure optimized by DFT (PBE)

Structural model:
```
data_NaTl4Cd4
_chemical_formula_sum 'Na1 Tl4 Cd4'
_space_group_name_H-M_alt 'P 1'
_space_group_IT_number 1
_space_group_name_Hall 'P 1'
_cell_length_a 7.8190
_cell_length_b 7.8190
_cell_length_c 7.8190
_cell_angle_alpha 94.30
_cell_angle_beta 94.30
_cell_angle_gamma 148.22
loop_
_atom_site_label
_atom_site_fract_x
_atom_site_fract_y
_atom_site_fract_z
Na1 0.0000 0.0000 0.0000
Tl1 0.3324 0.6649 0.9973
Tl2 0.3351 0.3324 0.6674
Tl3 0.6649 0.6676 0.3326
Tl4 0.6676 0.3351 0.0027
Cd1 0.0015 0.6550 0.6565
Cd2 0.3450 0.0015 0.3465
Cd3 0.6550 0.9985 0.6535
Cd4 0.9985 0.3450 0.3435
```

Largest 10 diffraction maxima, by angle, 2θ from 10° to 90°:
2θ/deg, intensity
22.39, 12
26.50, 8
32.80, 100
35.82, 39
42.22, 13
51.56, 14
56.54, 21
62.47, 30
68.76, 11
71.24, 11


Calculated X-ray diffraction stick pattern
Compound: CaGaH2O4
Radiation: Cu Kα (λ = 1.5418 Å)
Structure: a structure optimized by DFT (PBE)

Structural model:
```
data_CaGaH2O4
_chemical_formula_sum 'Ca1 Ga1 H2 O4'
_space_group_name_H-M_alt 'P 1'
_space_group_IT_number 1
_space_group_name_Hall 'P 1'
_cell_length_a 4.7689
_cell_length_b 4.7689
_cell_length_c 4.7689
_cell_angle_alpha 123.58
_cell_angle_beta 107.58
_cell_angle_gamma 98.33
loop_
_atom_site_label
_atom_site_fract_x
_atom_site_fract_y
_atom_site_fract_z
Ca1 0.0000 0.0000 0.0000
Ga1 0.5000 0.5000 0.0000
H1 0.3139 0.8139 0.5000
H2 0.6861 0.1861 0.5000
O1 0.1814 0.0286 0.5842
O2 0.4444 0.5972 0.4158
O3 0.5556 0.9714 0.1528
O4 0.8186 0.4028 0.8472
```

Largest 10 diffraction maxima, by angle, 2θ from 10° to 90°:
2θ/deg, intensity
21.25, 36
25.30, 98
31.76, 33
38.57, 100
40.43, 23
43.28, 30
49.92, 32
51.95, 18
60.39, 19
61.16, 18


Calculated X-ray diffraction stick pattern
Compound: Rb4MgTl3Br8
Radiation: Cu Kα (λ = 1.5418 Å)
Structure: a structure optimized by DFT (PBE)

Structural model:
```
data_Rb4MgTl3Br8
_chemical_formula_sum 'Rb4 Mg1 Tl3 Br8'
_space_group_name_H-M_alt 'P 1'
_space_group_IT_number 1
_space_group_name_Hall 'P 1'
_cell_length_a 9.6290
_cell_length_b 9.6290
_cell_length_c 9.6327
_cell_angle_alpha 119.72
_cell_angle_beta 119.72
_cell_angle_gamma 60.28
loop_
_atom_site_label
_atom_site_fract_x
_atom_site_fract_y
_atom_site_fract_z
Rb1 0.0000 0.0000 0.0000
Rb2 0.0000 0.5000 0.5000
Rb3 0.5000 0.0000 0.5000
Rb4 0.5000 0.5000 0.0000
Mg1 0.0000 0.0000 0.5000
Tl1 0.0000 0.5000 0.0000
Tl2 0.5000 0.0000 0.0000
Tl3 0.5000 0.5000 0.5000
Br1 0.2381 0.7576 0.2619
Br2 0.2392 0.2392 0.7436
Br3 0.2424 0.7619 0.7381
Br4 0.2526 0.2526 0.2474
Br5 0.7474 0.7474 0.7526
Br6 0.7576 0.2381 0.2619
Br7 0.7608 0.7608 0.2564
Br8 0.7619 0.2424 0.7381
```

Largest 10 diffraction maxima, by angle, 2θ from 10° to 90°:
2θ/deg, intensity
11.25, 14
21.58, 9
26.12, 100
37.19, 39
37.35, 38
46.01, 21
53.73, 13
60.58, 18
60.81, 18
67.08, 11